No. 1
The following is a theoretical powder diffractogram of HoMgSc2. It was derived from a crystal structure in Alexandria, relaxed with PBE, using copper Kα.

Atomic structure:
```
data_HoMgSc2
_chemical_formula_sum 'Ho2 Mg2 Sc4'
_cell_length_a 3.3386
_cell_length_b 7.8708
_cell_length_c 8.0803
_cell_angle_alpha 89.97
_cell_angle_beta 89.96
_cell_angle_gamma 77.76
_space_group_name_H-M_alt 'P 1'
_space_group_IT_number 1
_space_group_name_Hall 'P 1'
loop_
_atom_site_label
_atom_site_type_symbol
_atom_site_fract_x
_atom_site_fract_y
_atom_site_fract_z
Ho1 Ho 0.2428 0.0151 0.2502
Ho2 Ho 0.7572 0.9849 0.7498
Mg1 Mg 0.4558 0.5886 0.7503
Mg2 Mg 0.5442 0.4114 0.2497
Sc1 Sc 0.0994 0.3009 0.5596
Sc2 Sc 0.0993 0.3005 0.9403
Sc3 Sc 0.9007 0.6995 0.0597
Sc4 Sc 0.9006 0.6991 0.4404
```

Main lines, by angle (10° ≤ 2θ ≤ 90°):
2θ 11.50, I = 82
2θ 24.89, I = 64
2θ 29.53, I = 59
2θ 32.13, I = 65
2θ 33.91, I = 100
2θ 35.00, I = 28
2θ 43.57, I = 45
2θ 51.04, I = 25
2θ 61.09, I = 25
2θ 66.86, I = 28

---

No. 2
The following is a theoretical powder diffractogram of HoMg6Sc. It was derived from a crystal structure in Alexandria, relaxed with PBE, using copper Kα.

Atomic structure:
```
data_HoMg6Sc
_chemical_formula_sum 'Ho1 Mg6 Sc1'
_cell_length_a 4.5932
_cell_length_b 4.5932
_cell_length_c 9.1295
_cell_angle_alpha 90.00
_cell_angle_beta 90.00
_cell_angle_gamma 90.00
_space_group_name_H-M_alt 'P 1'
_space_group_IT_number 1
_space_group_name_Hall 'P 1'
loop_
_atom_site_label
_atom_site_type_symbol
_atom_site_fract_x
_atom_site_fract_y
_atom_site_fract_z
Ho1 Ho 0.0000 0.0000 0.0000
Mg1 Mg 0.0000 0.5000 0.2566
Mg2 Mg 0.0000 0.5000 0.7434
Mg3 Mg 0.5000 0.0000 0.2566
Mg4 Mg 0.5000 0.0000 0.7434
Mg5 Mg 0.5000 0.5000 0.0000
Mg6 Mg 0.5000 0.5000 0.5000
Sc1 Sc 0.0000 0.0000 0.5000
```

Main lines, by angle (10° ≤ 2θ ≤ 90°):
2θ 19.32, I = 37
2θ 19.45, I = 19
2θ 21.66, I = 32
2θ 27.52, I = 48
2θ 29.18, I = 17
2θ 33.87, I = 100
2θ 39.23, I = 33
2θ 44.11, I = 18
2θ 56.88, I = 22
2θ 67.69, I = 25

---

No. 3
The following is a theoretical powder diffractogram of HoMg3Sc6. It was derived from a crystal structure in Alexandria, relaxed with PBE, using copper Kα.

Atomic structure:
```
data_HoMg3Sc6
_chemical_formula_sum 'Ho1 Mg3 Sc6'
_cell_length_a 6.1188
_cell_length_b 6.1188
_cell_length_c 7.9904
_cell_angle_alpha 90.00
_cell_angle_beta 90.00
_cell_angle_gamma 120.00
_space_group_name_H-M_alt 'P 1'
_space_group_IT_number 1
_space_group_name_Hall 'P 1'
loop_
_atom_site_label
_atom_site_type_symbol
_atom_site_fract_x
_atom_site_fract_y
_atom_site_fract_z
Ho1 Ho 0.0000 0.0000 0.0000
Mg1 Mg 0.0000 0.0000 0.5000
Mg2 Mg 0.3333 0.6667 0.5000
Mg3 Mg 0.6667 0.3333 0.5000
Sc1 Sc 0.0000 0.4343 0.8116
Sc2 Sc 0.0000 0.5657 0.1884
Sc3 Sc 0.4343 0.0000 0.8116
Sc4 Sc 0.4343 0.4343 0.1884
Sc5 Sc 0.5657 0.0000 0.1884
Sc6 Sc 0.5657 0.5657 0.8116
```

Main lines, by angle (10° ≤ 2θ ≤ 90°):
2θ 11.07, I = 98
2θ 20.11, I = 77
2θ 27.97, I = 92
2θ 31.31, I = 27
2θ 33.83, I = 83
2θ 35.70, I = 60
2θ 37.01, I = 100
2θ 37.80, I = 47
2θ 46.76, I = 30
2θ 51.01, I = 33